Entry 1:
Starting from a crystal structure in Alexandria, relaxed with GGA-PBE, the powder X-ray diffraction pattern of Pu3Bi3H was calculated for λ = 1.5418 Å (Cu Kα).

Structure:
```
data_Pu3Bi3H
_chemical_formula_sum 'Pu12 Bi12 H4'
_symmetry_space_group_name_H-M 'C 1 2/m 1'
_symmetry_Int_Tables_number 12
_cell_length_a 8.716
_cell_length_b 9.773
_cell_length_c 8.644
_cell_angle_alpha 90.00
_cell_angle_beta 97.53
_cell_angle_gamma 90.00
loop_
_symmetry_equiv_pos_as_xyz
'x,y,z'
'-x,-y,-z'
'-x,y,-z'
'x,-y,z'
'x+1/2,y+1/2,z'
'-x+1/2,-y+1/2,-z'
'-x+1/2,y+1/2,-z'
'x+1/2,-y+1/2,z'
loop_
_atom_site_label
_atom_site_type_symbol
_atom_site_fract_x
_atom_site_fract_y
_atom_site_fract_z
Pu1 Pu 0.135 0.000 0.373
Pu2 Pu 0.240 0.321 0.242
Bi1 Bi 0.000 0.160 0.000
Bi2 Bi 0.000 0.306 0.500
Bi3 Bi 0.143 0.500 0.907
H1 H 0.130 0.000 0.637
```

Peak list (6 most intense, 2θ from 10° to 90°, in order of rising 2θ)
- 31.27°, 2.861 Å, I = 51, hkl 2 0 2
- 31.60°, 2.831 Å, I = 100, hkl 1 3 1
- 32.79°, 2.732 Å, I = 38, hkl 3 1 -1
- 33.01°, 2.714 Å, I = 88, hkl 2 2 -2
- 45.93°, 1.976 Å, I = 21, hkl 4 2 0
- 65.98°, 1.416 Å, I = 23, hkl 5 3 -3



Entry 2:
Starting from a crystal structure in Alexandria, relaxed with GGA-PBE, the powder X-ray diffraction pattern of Pu6Bi5H was calculated for λ = 1.5418 Å (Cu Kα).

Structure:
```
data_Pu6Bi5H
_chemical_formula_sum 'Pu12 Bi10 H2'
_symmetry_space_group_name_H-M 'C 1 2/m 1'
_symmetry_Int_Tables_number 12
_cell_length_a 8.372
_cell_length_b 16.643
_cell_length_c 6.029
_cell_angle_alpha 90.00
_cell_angle_beta 126.44
_cell_angle_gamma 90.00
loop_
_symmetry_equiv_pos_as_xyz
'x,y,z'
'-x,-y,-z'
'-x,y,-z'
'x,-y,z'
'x+1/2,y+1/2,z'
'-x+1/2,-y+1/2,-z'
'-x+1/2,y+1/2,-z'
'x+1/2,-y+1/2,z'
loop_
_atom_site_label
_atom_site_type_symbol
_atom_site_fract_x
_atom_site_fract_y
_atom_site_fract_z
Pu1 Pu 0.199 0.000 0.352
Pu2 Pu 0.247 0.163 0.750
Bi1 Bi 0.000 0.165 0.000
Bi2 Bi 0.000 0.339 0.500
Bi3 Bi 0.000 0.500 0.000
H1 H 0.000 0.000 0.500
```

Peak list (6 most intense, 2θ from 10° to 90°, in order of rising 2θ)
- 30.00°, 2.978 Å, I = 35, hkl 2 0 -2
- 32.27°, 2.774 Å, I = 52, hkl 0 6 0
- 32.71°, 2.738 Å, I = 100, hkl 1 3 1
- 36.42°, 2.467 Å, I = 49, hkl 3 3 -1
- 44.64°, 2.030 Å, I = 24, hkl 2 6 -2
- 57.83°, 1.594 Å, I = 20, hkl 1 9 1



Entry 3:
Starting from a crystal structure in Alexandria, relaxed with GGA-PBE, the powder X-ray diffraction pattern of RbBi3H was calculated for λ = 1.5418 Å (Cu Kα).

Structure:
```
data_RbBi3H
_chemical_formula_sum 'Rb1 Bi3 H1'
_symmetry_space_group_name_H-M 'P m -3 m'
_symmetry_Int_Tables_number 221
_symmetry_space_group_name_Hall '-P 4 2 3'
_cell_length_a 5.173
_cell_length_b 5.173
_cell_length_c 5.173
_cell_angle_alpha 90.00
_cell_angle_beta 90.00
_cell_angle_gamma 90.00
loop_
_atom_site_label
_atom_site_type_symbol
_atom_site_fract_x
_atom_site_fract_y
_atom_site_fract_z
Rb1 Rb 0.000 0.000 0.000
Bi1 Bi 0.000 0.500 0.500
H1 H 0.500 0.500 0.500
```

Peak list (6 most intense, 2θ from 10° to 90°, in order of rising 2θ)
- 29.92°, 2.986 Å, I = 100, hkl 1 1 1
- 34.69°, 2.586 Å, I = 52, hkl 2 0 0
- 49.87°, 1.829 Å, I = 38, hkl 2 2 0
- 59.25°, 1.560 Å, I = 45, hkl 3 1 1
- 81.03°, 1.187 Å, I = 19, hkl 3 3 1
- 83.60°, 1.157 Å, I = 18, hkl 4 2 0



Entry 4:
Starting from a crystal structure in Alexandria, relaxed with GGA-PBE, the powder X-ray diffraction pattern of RbZnBiH was calculated for λ = 1.5418 Å (Cu Kα).

Structure:
```
data_RbZnBiH
_chemical_formula_sum 'Rb2 Zn2 Bi2 H2'
_symmetry_space_group_name_H-M 'C 1 m 1'
_symmetry_Int_Tables_number 8
_cell_length_a 8.291
_cell_length_b 3.706
_cell_length_c 7.154
_cell_angle_alpha 90.00
_cell_angle_beta 97.58
_cell_angle_gamma 90.00
loop_
_symmetry_equiv_pos_as_xyz
'x,y,z'
'x,-y,z'
'x+1/2,y+1/2,z'
'x+1/2,-y+1/2,z'
loop_
_atom_site_label
_atom_site_type_symbol
_atom_site_fract_x
_atom_site_fract_y
_atom_site_fract_z
Rb1 Rb 0.000 0.000 0.000
Zn1 Zn 0.341 0.000 0.382
Bi1 Bi 0.157 0.500 0.575
H1 H 0.314 0.000 0.150
```

Peak list (6 most intense, 2θ from 10° to 90°, in order of rising 2θ)
- 12.48°, 7.091 Å, I = 64, hkl 0 0 1
- 25.12°, 3.546 Å, I = 32, hkl 0 0 2
- 26.45°, 3.370 Å, I = 71, hkl 2 0 1
- 28.65°, 3.116 Å, I = 100, hkl 1 1 -1
- 31.06°, 2.879 Å, I = 29, hkl 2 0 -2
- 40.97°, 2.203 Å, I = 42, hkl 3 1 0



Entry 5:
Starting from a crystal structure in Alexandria, relaxed with GGA-PBE, the powder X-ray diffraction pattern of Bi5HRh3 was calculated for λ = 1.5418 Å (Cu Kα).

Structure:
```
data_Bi5HRh3
_chemical_formula_sum 'Bi20 H4 Rh12'
_symmetry_space_group_name_H-M 'C 1 2/m 1'
_symmetry_Int_Tables_number 12
_cell_length_a 12.926
_cell_length_b 9.417
_cell_length_c 9.159
_cell_angle_alpha 90.00
_cell_angle_beta 128.65
_cell_angle_gamma 90.00
loop_
_symmetry_equiv_pos_as_xyz
'x,y,z'
'-x,-y,-z'
'-x,y,-z'
'x,-y,z'
'x+1/2,y+1/2,z'
'-x+1/2,-y+1/2,-z'
'-x+1/2,y+1/2,-z'
'x+1/2,-y+1/2,z'
loop_
_atom_site_label
_atom_site_type_symbol
_atom_site_fract_x
_atom_site_fract_y
_atom_site_fract_z
Bi1 Bi 0.000 0.206 0.000
Bi2 Bi 0.016 0.000 0.310
Bi3 Bi 0.148 0.500 0.889
Bi4 Bi 0.170 0.269 0.581
H1 H 0.141 0.500 0.238
Rh1 Rh 0.000 0.500 0.000
Rh2 Rh 0.000 0.500 0.500
Rh3 Rh 0.196 0.000 0.206
Rh4 Rh 0.213 0.000 0.737
```

Peak list (6 most intense, 2θ from 10° to 90°, in order of rising 2θ)
- 23.42°, 3.799 Å, I = 76, hkl 2 2 -1
- 27.25°, 3.273 Å, I = 100, hkl 2 0 1
- 31.41°, 2.848 Å, I = 81, hkl 0 2 2
- 31.67°, 2.825 Å, I = 91, hkl 4 0 -3
- 38.23°, 2.354 Å, I = 98, hkl 0 4 0
- 42.80°, 2.113 Å, I = 79, hkl 1 3 2



Entry 6:
Starting from a crystal structure in Alexandria, relaxed with GGA-PBE, the powder X-ray diffraction pattern of Bi2H2Rh was calculated for λ = 1.5418 Å (Cu Kα).

Structure:
```
data_Bi2H2Rh
_chemical_formula_sum 'Bi4 H4 Rh2'
_symmetry_space_group_name_H-M 'I 4/m m m'
_symmetry_Int_Tables_number 139
_symmetry_space_group_name_Hall '-I 4 2'
_cell_length_a 3.432
_cell_length_b 3.432
_cell_length_c 13.379
_cell_angle_alpha 90.00
_cell_angle_beta 90.00
_cell_angle_gamma 90.00
loop_
_atom_site_label
_atom_site_type_symbol
_atom_site_fract_x
_atom_site_fract_y
_atom_site_fract_z
Bi1 Bi 0.000 0.000 0.128
H1 H 0.000 0.500 0.250
Rh1 Rh 0.000 0.000 0.500
```

Peak list (6 most intense, 2θ from 10° to 90°, in order of rising 2θ)
- 26.82°, 3.325 Å, I = 31, hkl 1 0 1
- 32.93°, 2.720 Å, I = 100, hkl 1 0 3
- 37.04°, 2.427 Å, I = 56, hkl 1 1 0
- 42.85°, 2.110 Å, I = 38, hkl 1 0 5
- 46.21°, 1.964 Å, I = 22, hkl 1 1 4
- 64.17°, 1.451 Å, I = 30, hkl 2 1 3



Entry 7:
Starting from a crystal structure in Alexandria, relaxed with GGA-PBE, the powder X-ray diffraction pattern of Bi4HRh4 was calculated for λ = 1.5418 Å (Cu Kα).

Structure:
```
data_Bi4HRh4
_chemical_formula_sum 'Bi8 H2 Rh8'
_symmetry_space_group_name_H-M 'P 42/n'
_symmetry_Int_Tables_number 86
_cell_length_a 7.584
_cell_length_b 7.584
_cell_length_c 5.890
_cell_angle_alpha 90.00
_cell_angle_beta 90.00
_cell_angle_gamma 90.00
loop_
_symmetry_equiv_pos_as_xyz
'x,y,z'
'-x,-y,-z'
'-y,x+1/2,z+1/2'
'y,-x+1/2,-z+1/2'
'-x+1/2,-y+1/2,z'
'x+1/2,y+1/2,-z'
'y+1/2,-x,z+1/2'
'-y+1/2,x,-z+1/2'
loop_
_atom_site_label
_atom_site_type_symbol
_atom_site_fract_x
_atom_site_fract_y
_atom_site_fract_z
Bi1 Bi 0.035 0.701 0.116
H1 H 0.250 0.250 0.250
Rh1 Rh 0.054 0.310 0.420
```

Peak list (6 most intense, 2θ from 10° to 90°, in order of rising 2θ)
- 30.40°, 2.940 Å, I = 41, hkl 2 1 1
- 32.62°, 2.745 Å, I = 65, hkl 1 0 2
- 33.42°, 2.681 Å, I = 65, hkl 2 2 0
- 37.50°, 2.398 Å, I = 54, hkl 1 3 0
- 40.58°, 2.223 Å, I = 100, hkl 1 2 2
- 59.22°, 1.560 Å, I = 30, hkl 4 1 2



Entry 8:
Starting from a crystal structure in Alexandria, relaxed with GGA-PBE, the powder X-ray diffraction pattern of Bi2H5Rh2 was calculated for λ = 1.5418 Å (Cu Kα).

Structure:
```
data_Bi2H5Rh2
_chemical_formula_sum 'Bi4 H10 Rh4'
_symmetry_space_group_name_H-M 'P 1'
_symmetry_Int_Tables_number 1
_cell_length_a 3.281
_cell_length_b 5.307
_cell_length_c 14.021
_cell_angle_alpha 90.84
_cell_angle_beta 91.16
_cell_angle_gamma 97.67
loop_
_symmetry_equiv_pos_as_xyz
'x,y,z'
loop_
_atom_site_label
_atom_site_type_symbol
_atom_site_fract_x
_atom_site_fract_y
_atom_site_fract_z
Bi1 Bi 0.000 0.000 0.000
Bi2 Bi 0.183 0.972 0.550
Bi3 Bi 0.466 0.493 0.665
Bi4 Bi 0.743 0.488 0.117
H1 H 0.206 0.172 0.250
H2 H 0.249 0.297 0.390
H3 H 0.266 0.685 0.390
H4 H 0.299 0.803 0.251
H5 H 0.385 0.514 0.895
H6 H 0.450 0.159 0.830
H7 H 0.714 0.069 0.380
H8 H 0.764 0.499 0.319
H9 H 0.871 0.010 0.770
H10 H 0.952 0.658 0.834
Rh1 Rh 0.004 0.303 0.828
Rh2 Rh 0.217 0.988 0.355
Rh3 Rh 0.255 0.491 0.282
Rh4 Rh 0.506 0.803 0.838
```

Peak list (6 most intense, 2θ from 10° to 90°, in order of rising 2θ)
- 20.94°, 4.242 Å, I = 95, hkl 0 1 -2
- 21.30°, 4.171 Å, I = 100, hkl 0 1 2
- 28.04°, 3.183 Å, I = 49, hkl 1 0 -1
- 30.37°, 2.943 Å, I = 46, hkl 0 1 -4
- 34.10°, 2.629 Å, I = 63, hkl 0 2 0
- 39.03°, 2.308 Å, I = 43, hkl 1 1 -3



> Number 5 is which compound?

Bi5HRh3